Record 1
Theoretical powder X-ray diffraction pattern of Cs3Ag2Pd4 for CuKα, from a crystal structure in Alexandria, relaxed with GGA-PBE.

The 6 most intense peaks (2θ = 10–90°), in order of rising 2θ:
- 14.96°, intensity 79
- 26.95°, intensity 76
- 28.89°, intensity 93
- 30.19°, intensity 100
- 37.97°, intensity 93
- 38.48°, intensity 93

Structure:
a = 12.8077 Å, b = 4.7390 Å, c = 9.2648 Å
α = 90.00°, β = 107.30°, γ = 90.00°
Space group C2/m (No. 12)
Unique sites:
Cs 0.0000 0.0000 0.0000 [2 per cell]
Cs 0.1332 0.5000 0.3664 [4 per cell]
Ag 0.1591 0.5000 0.7724 [4 per cell]
Pd 0.0783 0.0000 0.6348 [4 per cell]
Pd 0.2324 0.0000 0.9219 [4 per cell]

Record 2
Theoretical powder X-ray diffraction pattern of SmDyAl6 for CuKα, from a crystal structure in Alexandria, relaxed with GGA-PBE.

The 6 most intense peaks (2θ = 10–90°), in order of rising 2θ:
- 16.20°, intensity 25
- 25.10°, intensity 100
- 28.25°, intensity 47
- 32.74°, intensity 24
- 38.15°, intensity 97
- 48.14°, intensity 25

Structure:
a = 6.3172 Å, b = 6.3172 Å, c = 4.6594 Å
α = 90.00°, β = 90.00°, γ = 120.00°
Space group P-6m2 (No. 187)
Unique sites:
Sm 0.0000 0.0000 0.0000 [1 per cell]
Dy 0.6667 0.3333 0.5000 [1 per cell]
Al 0.0419 0.5210 0.0000 [3 per cell]
Al 0.1892 0.3783 0.5000 [3 per cell]

Record 3
Theoretical powder X-ray diffraction pattern of Ca3FeAs for CuKα, from a crystal structure in Alexandria, relaxed with GGA-PBE.

The 6 most intense peaks (2θ = 10–90°), in order of rising 2θ:
- 15.93°, intensity 31
- 22.60°, intensity 63
- 27.77°, intensity 35
- 32.17°, intensity 100
- 39.67°, intensity 29
- 46.14°, intensity 69

Structure:
a = 5.5646 Å, b = 5.5646 Å, c = 5.5646 Å
α = 90.00°, β = 90.00°, γ = 90.00°
Space group Pm-3m (No. 221)
Unique sites:
Ca 0.0000 0.0000 0.5000 [3 per cell]
Fe 0.5000 0.5000 0.5000 [1 per cell]
As 0.0000 0.0000 0.0000 [1 per cell]

Record 4
Theoretical powder X-ray diffraction pattern of Ca2NpHO6 for CuKα, from a crystal structure in Alexandria, relaxed with GGA-PBE.

The 6 most intense peaks (2θ = 10–90°), in order of rising 2θ:
- 17.54°, intensity 100
- 21.67°, intensity 78
- 30.62°, intensity 49
- 30.73°, intensity 74
- 37.82°, intensity 37
- 51.37°, intensity 40

Structure:
a = 4.4860 Å, b = 5.8412 Å, c = 10.1097 Å
α = 90.00°, β = 90.00°, γ = 90.00°
Space group Pnnm (No. 58)
Unique sites:
Ca 0.0000 0.0000 0.1775 [4 per cell]
Np 0.0000 0.5000 0.0000 [2 per cell]
H 0.0000 0.5000 0.5000 [2 per cell]
O 0.2186 0.3533 0.1414 [8 per cell]
O 0.2251 0.3527 0.5000 [4 per cell]

Record 5
Theoretical powder X-ray diffraction pattern of Pm4GaSeS2 for CuKα, from a crystal structure in Alexandria, relaxed with GGA-PBE.

The 6 most intense peaks (2θ = 10–90°), in order of rising 2θ:
- 26.61°, intensity 29
- 30.45°, intensity 51
- 30.55°, intensity 100
- 43.57°, intensity 37
- 43.78°, intensity 37
- 54.82°, intensity 19

Structure:
a = 7.1980 Å, b = 4.0778 Å, c = 7.2416 Å
α = 90.00°, β = 108.84°, γ = 90.00°
Space group P2/m (No. 10)
Unique sites:
Pm 0.2407 0.0000 0.2410 [2 per cell]
Pm 0.2409 0.5000 0.7469 [2 per cell]
Ga 0.5000 0.0000 0.0000 [1 per cell]
Se 0.5000 0.5000 0.5000 [1 per cell]
S 0.0000 0.0000 0.5000 [1 per cell]
S 0.0000 0.5000 0.0000 [1 per cell]

Record 6
Theoretical powder X-ray diffraction pattern of Cd2MoPb for CuKα, from a crystal structure in Alexandria, relaxed with GGA-PBE.

The 6 most intense peaks (2θ = 10–90°), in order of rising 2θ:
- 34.50°, intensity 53
- 35.48°, intensity 100
- 36.70°, intensity 86
- 38.47°, intensity 38
- 52.62°, intensity 30
- 63.28°, intensity 31

Structure:
a = 3.0041 Å, b = 5.1996 Å, c = 5.7426 Å
α = 90.00°, β = 104.78°, γ = 90.00°
Space group P2/m (No. 10)
Unique sites:
Cd 0.1916 0.0000 0.2718 [2 per cell]
Mo 0.0000 0.5000 0.5000 [1 per cell]
Pb 0.5000 0.5000 0.0000 [1 per cell]

Record 7
Theoretical powder X-ray diffraction pattern of Li6Sb2S7 for CuKα, from a crystal structure in Alexandria, relaxed with GGA-PBE.

The 6 most intense peaks (2θ = 10–90°), in order of rising 2θ:
- 13.84°, intensity 95
- 16.81°, intensity 55
- 18.12°, intensity 28
- 21.85°, intensity 38
- 33.94°, intensity 100
- 49.27°, intensity 25

Structure:
a = 12.7179 Å, b = 7.5762 Å, c = 6.5187 Å
α = 90.00°, β = 110.04°, γ = 90.00°
Space group C2/m (No. 12)
Unique sites:
Li 0.1411 0.2184 0.2733 [8 per cell]
Li 0.1516 0.5000 0.7505 [4 per cell]
Sb 0.1269 0.0000 0.7466 [4 per cell]
S 0.0000 0.0000 0.0000 [2 per cell]
S 0.0000 0.2433 0.5000 [4 per cell]
S 0.2379 0.5000 0.4554 [4 per cell]
S 0.2500 0.2500 0.0000 [4 per cell]

Record 8
Theoretical powder X-ray diffraction pattern of CsNa for CuKα, from a crystal structure in Alexandria, relaxed with GGA-PBE.

The 6 most intense peaks (2θ = 10–90°), in order of rising 2θ:
- 17.81°, intensity 100
- 19.23°, intensity 68
- 25.06°, intensity 58
- 25.29°, intensity 46
- 27.54°, intensity 70
- 39.50°, intensity 33

Structure:
a = 15.7463 Å, b = 15.7463 Å, c = 4.8273 Å
α = 90.00°, β = 90.00°, γ = 90.00°
Space group I4/m (No. 87)
Unique sites:
Cs 0.1206 0.8154 0.0000 [8 per cell]
Na 0.0673 0.3942 0.0000 [8 per cell]

Record 9
Theoretical powder X-ray diffraction pattern of RbHg3F9 for CuKα, from a crystal structure in Alexandria, relaxed with GGA-PBE.

The 6 most intense peaks (2θ = 10–90°), in order of rising 2θ:
- 20.30°, intensity 36
- 23.80°, intensity 33
- 24.73°, intensity 100
- 32.20°, intensity 34
- 43.54°, intensity 32
- 48.72°, intensity 33

Structure:
a = 8.3141 Å, b = 8.3141 Å, c = 4.3739 Å
α = 90.00°, β = 90.00°, γ = 120.00°
Space group P6/mmm (No. 191)
Unique sites:
Rb 0.0000 0.0000 0.0000 [1 per cell]
Hg 0.0000 0.5000 0.5000 [3 per cell]
F 0.0000 0.5000 0.0000 [3 per cell]
F 0.1933 0.3866 0.5000 [6 per cell]

Record 10
Theoretical powder X-ray diffraction pattern of Tm4TlO for CuKα, from a crystal structure in Alexandria, relaxed with GGA-PBE.

The 6 most intense peaks (2θ = 10–90°), in order of rising 2θ:
- 20.35°, intensity 18
- 29.99°, intensity 82
- 32.99°, intensity 100
- 35.62°, intensity 60
- 41.38°, intensity 20
- 62.32°, intensity 32

Structure:
a = 5.0411 Å, b = 8.7275 Å, c = 6.9359 Å
α = 90.00°, β = 90.12°, γ = 90.00°
Space group P2_1/m (No. 11)
Unique sites:
Tm 0.2491 0.2500 0.2229 [2 per cell]
Tm 0.2500 0.0476 0.7299 [4 per cell]
Tm 0.2506 0.7500 0.0657 [2 per cell]
Tl 0.2508 0.7500 0.4922 [2 per cell]
O 0.2483 0.2500 0.9110 [2 per cell]

Record 11
Theoretical powder X-ray diffraction pattern of Cr2As for CuKα, from a crystal structure in Alexandria, relaxed with GGA-PBE.

The 6 most intense peaks (2θ = 10–90°), in order of rising 2θ:
- 35.68°, intensity 28
- 38.51°, intensity 67
- 42.96°, intensity 30
- 46.12°, intensity 100
- 51.35°, intensity 52
- 69.12°, intensity 26

Structure:
a = 3.5589 Å, b = 3.5589 Å, c = 6.3163 Å
α = 90.00°, β = 90.00°, γ = 90.00°
Space group P4/nmm (No. 129, origin choice 2)
Unique sites:
Cr 0.2500 0.2500 0.1671 [2 per cell]
Cr 0.2500 0.7500 0.5000 [2 per cell]
As 0.2500 0.2500 0.7810 [2 per cell]

Record 12
Theoretical powder X-ray diffraction pattern of NiHg for CuKα, from a crystal structure in Alexandria, relaxed with GGA-PBE.

The 6 most intense peaks (2θ = 10–90°), in order of rising 2θ:
- 25.99°, intensity 60
- 37.31°, intensity 95
- 38.93°, intensity 35
- 39.15°, intensity 100
- 43.54°, intensity 44
- 50.02°, intensity 36

Structure:
a = 5.1489 Å, b = 7.8556 Å, c = 13.7156 Å
α = 90.00°, β = 90.00°, γ = 90.00°
Space group Fddd (No. 70, origin choice 2)
Unique sites:
Ni 0.1250 0.1250 0.0399 [16 per cell]
Hg 0.1250 0.3000 0.6250 [16 per cell]